Entry 1:
Starting from a crystal structure in Alexandria, relaxed with PBE, the XRD peak list of CsKCuF4 was computed for CuKα.

Main lines, by angle (2θ from 10° to 90°):
2theta	intensity
12.63	151
16.06	295
19.44	233
28.39	1000
29.73	713
38.51	244
39.50	230
42.55	449
49.41	167
51.89	185
51.99	183
58.73	225

Crystal structure
```
data_CsKCuF4
_cell_length_a 6.0016
_cell_length_b 14.0196
_cell_length_c 6.0180
_cell_angle_alpha 90.00
_cell_angle_beta 90.00
_cell_angle_gamma 90.00
_space_group_name_H-M_alt 'C m c m'
_space_group_IT_number 63
_space_group_name_Hall '-C 2c 2'
loop_
_atom_site_label
_atom_site_fract_x
_atom_site_fract_y
_atom_site_fract_z
Cs1 0.0000 0.0966 0.2500
K1 0.0000 0.3774 0.2500
Cu1 0.0000 0.2532 0.7500
F1 0.0000 0.1136 0.7500
F2 0.0000 0.3945 0.7500
F3 0.2500 0.2500 0.0000
```


Entry 2:
Starting from a crystal structure in Alexandria, relaxed with PBE, the XRD peak list of Cs2KCu3F12 was computed for CuKα.

Main lines, by angle (2θ from 10° to 90°):
2theta	intensity
23.58	154
23.80	331
27.78	1000
28.02	303
29.03	212
44.17	156
44.30	114
44.74	112
48.24	292
48.72	122
67.51	113
67.90	136

Crystal structure
```
data_Cs2KCu3F12
_cell_length_a 7.5456
_cell_length_b 7.5456
_cell_length_c 18.2309
_cell_angle_alpha 90.00
_cell_angle_beta 90.00
_cell_angle_gamma 120.00
_space_group_name_H-M_alt 'R -3 m'
_space_group_IT_number 166
_space_group_name_Hall '-R 3 2"'
loop_
_atom_site_label
_atom_site_fract_x
_atom_site_fract_y
_atom_site_fract_z
Cs1 0.0000 0.0000 0.1130
K1 0.0000 0.0000 0.5000
Cu1 0.0000 0.5000 0.0000
F1 0.0271 0.5135 0.9003
F2 0.0830 0.5415 0.3245
```